Entry 1:
Starting from a DFT-relaxed cell (GGA-PBE, Alexandria), the XRD peak list of RbTlSn was calculated for Cu Ka.
Kinematic intensities with the Lorentz-polarization factor, no thermal factor.

Atomic structure:
```
RbTlSn
1.0
4.8630 0.0000 0.0000
0.0000 5.2816 0.0000
0.0000 0.0000 9.0454
Rb Tl Sn
2 2 2
Direct
0.0000 0.0000 0.0000
0.5000 0.5000 0.3262
0.0000 0.5000 0.6568
0.5000 0.5000 0.8873
0.0000 0.0000 0.4581
0.5000 0.0000 0.6642
```

Most intense lines, 2θ = 10–90°, low angle first:
d (Å), I (rel.)
3.435, 13
3.327, 41
3.312, 19
2.806, 100
2.641, 29
2.431, 23
2.306, 14
1.789, 19
1.555, 17
1.466, 14

---

Entry 2:
Starting from a DFT-relaxed cell (GGA-PBE, Alexandria), the XRD peak list of RbTl4Sn2 was calculated for Cu Ka.
Kinematic intensities with the Lorentz-polarization factor, no thermal factor.

Atomic structure:
```
RbTl4Sn2
1.0
5.2992 -4.1320 0.0000
5.2992 4.1320 0.0000
-3.4578 0.0000 5.2916
Rb Tl Sn
1 4 2
Direct
0.0000 0.0000 0.0000
0.0057 0.6147 0.3159
0.3853 0.9943 0.6841
0.6147 0.0057 0.3159
0.9943 0.3853 0.6841
0.4765 0.4765 0.2227
0.5235 0.5235 0.7773
```

Most intense lines, 2θ = 10–90°, low angle first:
d (Å), I (rel.)
5.011, 32
3.253, 55
3.155, 39
3.024, 100
2.741, 56
2.525, 61
2.506, 91
1.730, 30
1.668, 36
1.599, 32

---

Entry 3:
Starting from a DFT-relaxed cell (GGA-PBE, Alexandria), the XRD peak list of Rb3Tl4Sn2 was calculated for Cu Ka.
Kinematic intensities with the Lorentz-polarization factor, no thermal factor.

Atomic structure:
```
Rb3Tl4Sn2
1.0
5.1742 0.0000 0.0000
-2.5824 7.1685 0.0000
-0.0299 -3.8222 9.6909
Rb Tl Sn
3 4 2
Direct
0.0000 0.0000 0.0000
0.3757 0.7542 0.6296
0.6243 0.2458 0.3704
0.0783 0.1602 0.6635
0.3156 0.6308 0.9517
0.6844 0.3692 0.0483
0.9217 0.8398 0.3365
0.2938 0.5847 0.2407
0.7062 0.4153 0.7593
```

Most intense lines, 2θ = 10–90°, low angle first:
d (Å), I (rel.)
6.776, 93
3.445, 31
3.372, 100
3.227, 83
3.216, 46
2.941, 92
2.915, 33
2.587, 64
2.533, 53
2.371, 29